For K4EuP2Se8, a GGA-PBE-relaxed structure gives the simulated powder X-ray diffraction pattern in this record (Cu Kα (weighted mean of Kα1 and Kα2)).
Lines closer than 0.1° are merged.

Peak list (12 most intense, 2θ from 5° to 70°, in order of rising 2θ)
- 9.1°, intensity 57.4
- 10.6°, intensity 66.5
- 15.8°, intensity 31.2
- 19.5°, intensity 43.9
- 27.5°, intensity 30.1
- 27.7°, intensity 43.7
- 29.2°, intensity 85.3
- 30.4°, intensity 51.3
- 31.6°, intensity 34.2
- 31.9°, intensity 100.0
- 33.4°, intensity 54.7
- 33.8°, intensity 31.0

Structural model:
```
K4EuP2Se8
1.0
-4.6392 9.6740 5.1546
4.6392 -9.6740 5.1546
4.6392 9.6740 -5.1546
K Eu P Se
8 2 4 16
direct
0.0164 0.2500 0.7664
0.0853 0.6124 0.6977
0.4147 0.1124 0.5271
0.4836 0.2500 0.2336
0.5164 0.7500 0.7664
0.5853 0.8876 0.4729
0.9147 0.3876 0.3023
0.9836 0.7500 0.2336
0.2500 0.2500 0.0000
0.7500 0.7500 0.0000
0.1265 0.2047 0.3312
0.3735 0.7047 0.0782
0.6265 0.2953 0.9218
0.8735 0.7953 0.6688
0.1007 0.8798 0.6314
0.1039 0.9669 0.0708
0.2388 0.2563 0.4951
0.2484 0.4693 0.3686
0.2516 0.6202 0.2209
0.2612 0.7563 0.0175
0.3961 0.4669 0.8630
0.3993 0.0307 0.7791
0.6007 0.9693 0.2209
0.6039 0.5331 0.1370
0.7388 0.2437 0.9825
0.7484 0.3798 0.7791
0.7516 0.5307 0.6314
0.7612 0.7437 0.5049
0.8961 0.0331 0.9292
0.8993 0.1202 0.3686
```